# SmEuHf4O12
Simulated PXRD pattern, CuKα. Input: DFT lattice parameters and positions (GGA-PBE).
No peak broadening, texture or thermal motion is included.

Structure:
```
SmEuHf4O12
1.0
8.1203 0.0000 0.0000
0.0000 4.0135 4.0457
0.0000 -4.0135 4.0457
Sm Eu Hf O
1 1 4 12
Cartesian
0.0000 0.0000 0.0000 Sm
4.0602 0.0000 4.4152 Eu
2.0308 -1.9188 2.2737 Hf
2.0308 1.9188 2.2737 Hf
6.0895 -1.9188 2.2737 Hf
6.0895 1.9188 2.2737 Hf
0.0000 -2.3469 2.5424 O
0.0000 2.3469 2.5424 O
1.5359 0.0000 1.7437 O
2.2000 -1.5940 4.3190 O
2.2000 1.5940 4.3190 O
2.2723 0.0000 6.5744 O
4.0602 -1.5899 2.3741 O
4.0602 1.5899 2.3741 O
5.8480 0.0000 6.5744 O
5.9203 -1.5940 4.3190 O
5.9203 1.5940 4.3190 O
6.5844 0.0000 1.7437 O
```

Most intense lines, 2θ = 15–90°, in order of rising 2θ:
two_theta  I_rel
19.03  38
21.93  30
22.15  13
31.21  48
31.37  100
36.80  12
44.64  14
44.80  13
45.18  12
55.59  22
55.69  20
55.94  21